Starting from a crystal structure in Alexandria, relaxed with PBE, the XRD peak list of AlAs3Ir was calculated for λ = 1.5418 Å (Cu Kα).

Structural model:
abc: 4.677 4.677 4.677
angles: 90.00 90.00 90.00
Space group Pm-3m (No. 221)
Inequivalent atoms, fractional coordinates:
1 Al 0.000 0.000 0.000 (multiplicity 1)
2 As 0.000 0.000 0.500 (multiplicity 3)
3 Ir 0.500 0.500 0.500 (multiplicity 1)

Most intense lines, 2θ = 15–90°, most intense first:
- 2θ = 33.2°, d = 2.700 Å, intensity 100
- 2θ = 38.5°, d = 2.339 Å, intensity 65
- 2θ = 55.6°, d = 1.654 Å, intensity 44
- 2θ = 66.3°, d = 1.410 Å, intensity 40
- 2θ = 27.0°, d = 3.307 Å, intensity 31
- 2θ = 69.6°, d = 1.350 Å, intensity 15
- 2θ = 47.6°, d = 1.909 Å, intensity 14
- 2θ = 19.0°, d = 4.677 Å, intensity 12


Starting from a crystal structure in Alexandria, relaxed with PBE, the XRD peak list of KAlTcAs2 was calculated for λ = 1.5418 Å (Cu Kα).

Structural model:
abc: 4.803 4.803 6.022
angles: 90.00 90.00 90.00
Space group P4/mmm (No. 123)
Inequivalent atoms, fractional coordinates:
1 K 0.000 0.000 0.000 (multiplicity 1)
2 Al 0.500 0.500 0.000 (multiplicity 1)
3 Tc 0.000 0.000 0.500 (multiplicity 1)
4 As 0.000 0.500 0.500 (multiplicity 2)

Most intense lines, 2θ = 15–90°, most intense first:
- 2θ = 37.5°, d = 2.401 Å, intensity 100
- 2θ = 29.7°, d = 3.011 Å, intensity 95
- 2θ = 48.5°, d = 1.877 Å, intensity 93
- 2θ = 18.5°, d = 4.803 Å, intensity 78
- 2θ = 40.4°, d = 2.230 Å, intensity 55
- 2θ = 30.2°, d = 2.958 Å, intensity 52
- 2θ = 23.7°, d = 3.755 Å, intensity 49
- 2θ = 62.8°, d = 1.479 Å, intensity 42


Starting from a crystal structure in Alexandria, relaxed with PBE, the XRD peak list of LaAlAsO6 was calculated for λ = 1.5418 Å (Cu Kα).

Structural model:
abc: 5.0024 5.0024 5.2134
angles: 90.00 90.00 120.00
Space group P312 (No. 149)
Inequivalent atoms, fractional coordinates:
1 La 0.0000 0.0000 0.0000 (multiplicity 1)
2 Al 0.6667 0.3333 0.5000 (multiplicity 1)
3 As 0.3333 0.6667 0.5000 (multiplicity 1)
4 O 0.0088 0.3807 0.7013 (multiplicity 6)

Most intense lines, 2θ = 15–90°, most intense first:
- 2θ = 26.8°, d = 3.332 Å, intensity 100
- 2θ = 50.6°, d = 1.805 Å, intensity 33
- 2θ = 35.9°, d = 2.501 Å, intensity 22
- 2θ = 59.1°, d = 1.562 Å, intensity 21
- 2θ = 45.3°, d = 2.000 Å, intensity 20
- 2θ = 20.5°, d = 4.332 Å, intensity 16
- 2θ = 57.1°, d = 1.613 Å, intensity 10
- 2θ = 64.5°, d = 1.444 Å, intensity 9


Starting from a crystal structure in Alexandria, relaxed with PBE, the XRD peak list of LaAlAs2O8 was calculated for λ = 1.5418 Å (Cu Kα).

Structural model:
abc: 5.3316 5.3316 6.7358
angles: 90.00 90.00 120.00
Space group P-3m1 (No. 164)
Inequivalent atoms, fractional coordinates:
1 La 0.0000 0.0000 0.0000 (multiplicity 1)
2 Al 0.0000 0.0000 0.5000 (multiplicity 1)
3 As 0.3333 0.6667 0.2450 (multiplicity 2)
4 O 0.1561 0.3122 0.3177 (multiplicity 6)
5 O 0.3333 0.6667 0.9929 (multiplicity 2)

Most intense lines, 2θ = 15–90°, most intense first:
- 2θ = 23.4°, d = 3.808 Å, intensity 100
- 2θ = 33.6°, d = 2.666 Å, intensity 65
- 2θ = 32.9°, d = 2.721 Å, intensity 58
- 2θ = 47.8°, d = 1.904 Å, intensity 32
- 2θ = 36.2°, d = 2.479 Å, intensity 27
- 2θ = 59.7°, d = 1.550 Å, intensity 25
- 2θ = 19.2°, d = 4.617 Å, intensity 24
- 2θ = 54.3°, d = 1.689 Å, intensity 22